The following is a simulated XRD peak list of LaZn10Cu2. It was derived from a DFT-relaxed cell (GGA-PBE, Alexandria), using Cu Kα (λ = 1.5418 Å).
Neutral-atom scattering factors, no anomalous dispersion.

Lattice parameters (Å, degrees): 4.997 12.851 12.885 90.00 90.00 90.00
Space group Fmmm (No. 69)
Symmetry-distinct sites (fractional):
La 0.000 0.000 0.000 x4
Zn 0.000 0.115 0.391 x16
Zn 0.000 0.181 0.173 x16
Zn 0.250 0.000 0.250 x8
Cu 0.250 0.250 0.000 x8

Peak list (6 most intense, 2θ = 5–70°, low angle first)
hkl 1 3 1, 28.29°, intensity 21.4
hkl 1 3 3, 34.59°, intensity 45.0
hkl 0 4 4, 39.62°, intensity 65.0
hkl 1 5 1, 40.03°, intensity 100.0
hkl 2 2 2, 41.22°, intensity 68.8
hkl 2 0 4, 45.99°, intensity 41.8

The following is a simulated XRD peak list of Ca3PrPa2N6. It was derived from a DFT-relaxed cell (GGA-PBE, Alexandria), using Cu Kα (λ = 1.5418 Å).
Neutral-atom scattering factors, no anomalous dispersion.

Lattice parameters (Å, degrees): 15.401 3.595 7.107 90.00 102.27 90.00
Space group C2/m (No. 12)
Symmetry-distinct sites (fractional):
Ca 0.000 0.000 0.000 x2
Ca 0.167 0.500 0.334 x4
Pr 0.000 0.000 0.500 x2
Pa 0.165 0.500 0.831 x4
N 0.017 0.500 0.761 x4
N 0.169 0.000 0.616 x4
N 0.177 0.000 0.061 x4

Peak list (6 most intense, 2θ = 5–70°, low angle first)
hkl 2 0 -1, 15.41°, intensity 93.5
hkl 1 1 1, 29.16°, intensity 39.0
hkl 2 0 2, 30.58°, intensity 100.0
hkl 4 0 -2, 31.12°, intensity 32.4
hkl 1 1 -2, 35.53°, intensity 70.1
hkl 6 0 0, 35.80°, intensity 34.0

The following is a simulated XRD peak list of Cs2PaPSe6. It was derived from a DFT-relaxed cell (GGA-PBE, Alexandria), using Cu Kα (λ = 1.5418 Å).
Neutral-atom scattering factors, no anomalous dispersion.

Lattice parameters (Å, degrees): 7.7960 7.7960 6.4197 90.00 90.00 120.00
Space group P-3m1 (No. 164)
Symmetry-distinct sites (fractional):
Cs 0.3333 0.6667 0.2590 x2
Pa 0.0000 0.0000 0.0000 x1
P 0.0000 0.0000 0.5000 x1
Se 0.1547 0.3094 0.7162 x6

Peak list (6 most intense, 2θ = 5–70°, low angle first)
hkl 1 0 0, 13.11°, intensity 48.1
hkl 0 1 1, 19.08°, intensity 27.6
hkl 1 1 0, 22.81°, intensity 28.9
hkl 2 0 1, 29.90°, intensity 100.0
hkl 0 2 2, 38.71°, intensity 43.6
hkl 2 2 0, 46.60°, intensity 29.9

The following is a simulated XRD peak list of KRbSb. It was derived from a DFT-relaxed cell (GGA-PBE, Alexandria), using Cu Kα (λ = 1.5418 Å).
Neutral-atom scattering factors, no anomalous dispersion.

Lattice parameters (Å, degrees): 5.9413 5.9413 8.0097 90.00 90.00 120.00
Space group P-3m1 (No. 164)
Symmetry-distinct sites (fractional):
K 0.3333 0.6667 0.4425 x2
Rb 0.3333 0.6667 0.9086 x2
Sb 0.0000 0.0000 0.3099 x2

Peak list (6 most intense, 2θ = 5–70°, low angle first)
hkl 0 1 1, 20.52°, intensity 37.7
hkl 0 1 2, 28.24°, intensity 88.7
hkl 1 1 0, 30.08°, intensity 100.0
hkl 1 0 3, 37.97°, intensity 30.1
hkl 2 0 2, 41.73°, intensity 29.8
hkl 1 2 2, 52.29°, intensity 30.1

The following is a simulated XRD peak list of Na2ZrGa2O6. It was derived from a DFT-relaxed cell (GGA-PBE, Alexandria), using Cu Kα (λ = 1.5418 Å).
Neutral-atom scattering factors, no anomalous dispersion.

Lattice parameters (Å, degrees): 5.3117 5.3117 5.7134 90.00 90.00 120.00
Space group P-31m (No. 162)
Symmetry-distinct sites (fractional):
Na 0.3333 0.6667 0.0000 x2
Zr 0.0000 0.0000 0.5000 x1
Ga 0.3333 0.6667 0.5000 x2
O 0.0000 0.3489 0.6895 x6

Peak list (6 most intense, 2θ = 5–70°, low angle first)
hkl 0 0 1, 15.51°, intensity 100.0
hkl 1 1 0, 33.75°, intensity 47.0
hkl 2 -1 1, 37.34°, intensity 44.8
hkl 2 -1 2, 46.70°, intensity 68.6
hkl 1 1 3, 59.75°, intensity 16.3
hkl 3 0 0, 60.37°, intensity 19.6

The following is a simulated XRD peak list of Fe3Re4. It was derived from a DFT-relaxed cell (GGA-PBE, Alexandria), using Cu Kα (λ = 1.5418 Å).
Neutral-atom scattering factors, no anomalous dispersion.

Lattice parameters (Å, degrees): 4.6499 4.6499 4.9304 90.00 90.00 120.00
Space group P6/mmm (No. 191)
Symmetry-distinct sites (fractional):
Fe 0.0000 0.5000 0.0000 x3
Re 0.0000 0.0000 0.2540 x2
Re 0.3333 0.6667 0.5000 x2

Peak list (6 most intense, 2θ = 5–70°, low angle first)
hkl 0 0 1, 17.99°, intensity 9.9
hkl 1 1 0, 38.73°, intensity 54.6
hkl 1 0 2, 43.02°, intensity 100.0
hkl 2 0 0, 45.02°, intensity 10.0
hkl 2 0 1, 48.86°, intensity 14.8
hkl 2 0 2, 59.26°, intensity 10.4

The following is a simulated XRD peak list of PmNdCd5. It was derived from a DFT-relaxed cell (GGA-PBE, Alexandria), using Cu Kα (λ = 1.5418 Å).
Neutral-atom scattering factors, no anomalous dispersion.

Lattice parameters (Å, degrees): 7.118 7.673 7.080 90.00 90.00 90.00
Space group Cmmm (No. 65)
Symmetry-distinct sites (fractional):
Pm 0.000 0.000 0.000 x2
Nd 0.000 0.500 0.500 x2
Cd 0.000 0.500 0.000 x2
Cd 0.250 0.250 0.260 x8

Peak list (6 most intense, 2θ = 5–70°, low angle first)
hkl 2 2 0, 34.37°, intensity 100.0
hkl 0 2 2, 34.47°, intensity 98.3
hkl 2 0 2, 35.78°, intensity 88.8
hkl 2 4 2, 60.77°, intensity 36.6
hkl 4 2 2, 63.32°, intensity 33.6
hkl 2 2 4, 63.51°, intensity 31.0

The following is a simulated XRD peak list of MoW3. It was derived from a DFT-relaxed cell (GGA-PBE, Alexandria), using Cu Kα (λ = 1.5418 Å).
Neutral-atom scattering factors, no anomalous dispersion.

Lattice parameters (Å, degrees): 8.996 8.994 6.360 90.00 90.00 90.00
Space group Cm (No. 8)
Symmetry-distinct sites (fractional):
Mo 0.000 0.000 0.000 x2
Mo 0.000 0.000 0.500 x2
Mo 0.000 0.500 0.000 x2
Mo 0.250 0.000 0.250 x2
W 0.000 0.250 0.250 x4
W 0.000 0.250 0.750 x4
W 0.000 0.500 0.500 x2
W 0.250 0.000 0.750 x2
W 0.250 0.250 0.000 x4
W 0.250 0.250 0.500 x4
W 0.250 0.500 0.250 x2
W 0.250 0.500 0.750 x2

Peak list (6 most intense, 2θ = 5–70°, low angle first)
hkl 1 1 0, 13.92°, intensity 1.2
hkl 0 2 0, 19.74°, intensity 2.8
hkl 2 0 2, 34.54°, intensity 1.5
hkl 4 0 0, 40.10°, intensity 100.0
hkl 2 4 2, 53.94°, intensity 0.9
hkl 4 4 0, 58.00°, intensity 17.1

The following is a simulated XRD peak list of Ac5Pm2Sm2. It was derived from a DFT-relaxed cell (GGA-PBE, Alexandria), using Cu Kα (λ = 1.5418 Å).
Neutral-atom scattering factors, no anomalous dispersion.

Lattice parameters (Å, degrees): 6.617 6.645 8.618 82.41 74.86 80.18
Space group P-1 (No. 2)
Symmetry-distinct sites (fractional):
Ac 0.000 0.000 0.000 x1
Ac 0.326 0.665 0.670 x2
Ac 0.437 0.890 0.225 x2
Pm 0.109 0.229 0.551 x2
Sm 0.224 0.449 0.113 x2

Peak list (6 most intense, 2θ = 5–70°, low angle first)
hkl 2 1 1, 28.51°, intensity 100.0
hkl 1 1 3, 32.86°, intensity 17.4
hkl 1 2 -1, 33.04°, intensity 17.1
hkl 2 -1 0, 33.21°, intensity 16.8
hkl 2 3 2, 47.35°, intensity 12.8
hkl 1 3 4, 56.02°, intensity 15.5

The following is a simulated XRD peak list of Ho2SbC. It was derived from a DFT-relaxed cell (GGA-PBE, Alexandria), using Cu Kα (λ = 1.5418 Å).
Neutral-atom scattering factors, no anomalous dispersion.

Lattice parameters (Å, degrees): 3.6550 3.6550 22.5634 90.00 90.00 120.00
Space group R-3m (No. 166, hexagonal axes)
Symmetry-distinct sites (fractional):
Ho 0.0000 0.0000 0.2253 x6
Sb 0.0000 0.0000 0.0000 x3
C 0.0000 0.0000 0.5000 x3

Peak list (6 most intense, 2θ = 5–70°, low angle first)
hkl 1 0 4, 32.43°, intensity 100.0
hkl 0 1 5, 34.61°, intensity 61.2
hkl 0 0 9, 35.82°, intensity 30.2
hkl 1 1 0, 49.90°, intensity 39.4
hkl 1 0 13, 60.83°, intensity 33.4
hkl 1 1 9, 62.94°, intensity 35.5

The following is a simulated XRD peak list of Sr8Cr3N8. It was derived from a DFT-relaxed cell (GGA-PBE, Alexandria), using Cu Kα (λ = 1.5418 Å).
Neutral-atom scattering factors, no anomalous dispersion.

Lattice parameters (Å, degrees): 19.076 5.344 7.638 90.00 106.97 90.00
Space group C2/m (No. 12)
Symmetry-distinct sites (fractional):
Sr 0.030 0.000 0.267 x4
Sr 0.098 0.500 0.952 x4
Sr 0.167 0.500 0.468 x4
Sr 0.198 0.000 0.801 x4
Cr 0.000 0.500 0.500 x2
Cr 0.187 0.000 0.203 x4
N 0.025 0.500 0.293 x4
N 0.107 0.000 0.016 x4
N 0.180 0.000 0.423 x4
N 0.227 0.500 0.832 x4

Peak list (6 most intense, 2θ = 5–70°, low angle first)
hkl 3 1 1, 27.33°, intensity 32.1
hkl 1 1 -2, 28.83°, intensity 51.7
hkl 5 1 -1, 29.21°, intensity 66.4
hkl 5 1 0, 29.68°, intensity 64.6
hkl 1 1 2, 31.21°, intensity 69.4
hkl 0 2 0, 33.54°, intensity 100.0